# LaFe3B4O12
Computed PXRD pattern, Cu Kα, 1.54184 Å. Input: a DFT-relaxed cell (PBE+U, the Materials Project).
Intensities are scaled so that the largest is 100.

Largest 6 diffraction maxima, in order of falling intensity, 2θ from 5° to 70°:
Position (°2θ)	d/Å	I (rel.)
31.34	2.855	100
24.05	3.700	75
51.58	1.772	27
30.37	2.944	24
37.01	2.429	23
45.33	2.001	23

Structural model:
```
20
Lattice="4.8583 2.8050 2.5906 -4.8583 2.8050 2.5906 0.0000 -5.6099 2.5906" Properties=species:S:1:pos:R:3 pbc="T T T"
La 0.0000 0.0000 0.0000
Fe -2.1790 -1.8358 2.5906
Fe -0.5004 2.8050 2.5906
Fe -2.1790 1.8358 5.1811
B -4.3268 0.0000 3.8858
B 2.1634 -3.7472 3.8858
B 0.0000 0.0000 3.8858
B 2.1634 3.7472 3.8858
O -3.6814 -1.2064 3.7271
O -1.9984 -3.4613 3.8858
O -3.6814 1.2064 4.0446
O -0.6960 -1.2055 3.8858
O 0.7960 -3.7914 4.0446
O -0.6960 1.2055 3.8858
O -1.9984 3.4613 3.8858
O 2.8855 -2.5850 3.7271
O 1.3920 0.0000 3.8858
O 0.7960 3.7914 3.7271
O 3.9968 0.0000 3.8858
O 2.8855 2.5850 4.0446
```



# Li6Mn5FeB6O18
Computed PXRD pattern, Cu Kα, 1.54184 Å. Input: a DFT-relaxed cell (PBE+U, the Materials Project).
Intensities are scaled so that the largest is 100.

Largest 6 diffraction maxima, in order of falling intensity, 2θ from 5° to 70°:
Position (°2θ)	d/Å	I (rel.)
21.48	4.136	100
35.58	2.524	82
37.67	2.388	33
47.59	1.911	29
52.78	1.735	26
54.42	1.686	19

Structural model:
```
36
Lattice="8.2678 0.0000 0.0000 0.0000 3.1849 0.0000 -0.0133 0.0000 14.3377" Properties=species:S:1:pos:R:3 pbc="T T T"
Li 0.0000 0.0000 0.0000
Li 0.2102 0.0000 10.1380
Li 0.6089 0.0000 4.8978
Li 4.1229 0.0000 7.1767
Li 4.3483 0.0000 2.9778
Li 4.7344 0.0000 12.0482
Mn 1.5931 1.5925 2.3454
Mn 1.9074 1.5925 12.2596
Mn 5.5846 1.5925 0.4148
Mn 5.7221 1.5925 9.5145
Mn 6.0570 1.5925 5.1005
Fe 1.4789 1.5925 7.5791
B 3.0161 1.5925 5.0124
B 3.0150 0.0000 9.7738
B 3.0323 0.0000 0.2297
B 7.1653 0.0000 2.6213
B 7.1556 1.5925 12.1767
B 7.1780 0.0000 7.4041
O 0.0099 1.5925 11.3482
O 0.1405 0.0000 2.0020
O 0.1743 0.0000 6.8275
O 1.7462 1.5925 4.4455
O 1.8636 0.0000 8.9923
O 1.8762 0.0000 13.7720
O 2.9170 0.0000 1.6182
O 2.9218 0.0000 11.1616
O 3.1483 1.5925 6.4068
O 4.1482 1.5925 4.1997
O 4.2651 0.0000 9.1687
O 4.2785 0.0000 13.9728
O 5.8767 1.5925 11.6188
O 6.0076 0.0000 1.8528
O 6.0306 0.0000 6.6043
O 7.0424 0.0000 8.7914
O 7.0784 0.0000 4.0078
O 7.3112 1.5925 13.5643
```



# Li4MnFe2B4O12
Computed PXRD pattern, Cu Kα, 1.54184 Å. Input: a DFT-relaxed cell (PBE+U, the Materials Project).
Intensities are scaled so that the largest is 100.

Largest 6 diffraction maxima, in order of falling intensity, 2θ from 5° to 70°:
Position (°2θ)	d/Å	I (rel.)
13.26	6.679	100
36.09	2.489	95
34.34	2.611	81
20.38	4.357	74
27.42	3.253	54
28.67	3.114	33

Structural model:
```
46
Lattice="5.2916 0.0000 0.0000 0.0000 9.0067 0.0000 -5.1358 0.0000 9.9553" Properties=species:S:1:pos:R:3 pbc="T T T"
Li 0.0000 0.8253 0.0000
Li -2.5679 8.1814 4.9777
Li 1.0497 2.3842 1.9838
Li -1.5182 6.6225 6.9614
Li 3.6466 3.5548 2.1364
Li 1.0787 5.4519 7.1141
Li 2.7406 2.0662 4.4713
Li 0.1727 6.9405 9.4490
Mn 1.2080 2.5018 7.7750
Mn 3.7759 6.5048 2.7973
Fe -1.4777 0.5810 7.3511
Fe 1.0902 8.4257 2.3734
Fe 0.0791 3.8406 4.7915
Fe -2.4888 5.1661 9.7691
B -5.0798 3.8990 9.8846
B -2.5119 5.1076 4.9069
B -1.5002 3.7436 7.3720
B 1.0676 5.2631 2.3944
B 0.1261 0.8102 4.8220
B -2.4418 8.1964 9.7997
B 3.6489 0.7248 2.3465
B 1.0811 8.2819 7.3242
O -1.8459 3.9045 4.6538
O -4.4138 5.1022 9.6315
O -4.4029 2.6979 9.8313
O -1.8350 6.3088 4.8536
O -0.2869 0.7892 2.0009
O -2.8548 8.2174 6.9785
O -1.1800 0.6757 5.2986
O 1.3879 8.3309 0.3210
O 0.2969 4.1567 2.7481
O -2.2710 4.8499 7.7257
O -2.0671 2.4682 7.4056
O 0.5007 6.5385 2.4279
O -1.7068 0.2480 9.2842
O 0.8611 8.7586 4.3065
O 0.7694 2.0621 4.8390
O -1.7985 6.9446 9.8166
O -0.1727 3.8833 6.9824
O 2.3952 5.1233 2.0048
O 4.0018 3.9145 0.2258
O 1.4339 5.0922 5.2034
O 2.8641 1.8222 2.4982
O 0.2962 7.1844 7.4759
O 0.5093 0.5543 7.5489
O 3.0772 8.4523 2.5712
```



# Li4Mn3FeB4O12
Computed PXRD pattern, Cu Kα, 1.54184 Å. Input: a DFT-relaxed cell (PBE+U, the Materials Project).
Intensities are scaled so that the largest is 100.

Largest 6 diffraction maxima, in order of falling intensity, 2θ from 5° to 70°:
Position (°2θ)	d/Å	I (rel.)
33.24	2.695	100
20.40	4.353	81
22.54	3.945	61
40.72	2.216	55
22.05	4.031	33
33.97	2.639	33

Structural model:
```
24
Lattice="5.1787 0.0000 0.0000 2.3738 5.5696 0.0000 0.0889 2.3052 8.8645" Properties=species:S:1:pos:R:3 pbc="T T T"
Li 0.0000 0.0000 0.0000
Li 1.6534 5.6612 7.6948
Li 5.0158 6.7060 4.4418
Li 4.2068 4.5003 3.2827
Mn 2.7018 2.3971 7.1720
Mn 4.1312 3.2614 0.5116
Mn 5.2460 1.2415 2.7655
Fe 1.6170 4.4090 4.9259
B 1.5327 3.7877 1.9726
B 2.6584 0.6998 1.3104
B 4.1807 4.9454 6.3732
B 5.2954 1.8660 5.7394
O 2.0736 3.6690 0.7076
O 2.2596 4.3818 3.0093
O 1.4264 2.2993 5.4755
O 2.8516 4.5380 6.6091
O 1.9307 0.0951 0.2884
O 2.1247 0.8323 2.5800
O 4.7447 4.7947 5.1247
O 4.8955 5.5511 7.4054
O 3.9725 1.1270 1.0585
O 5.3978 3.3660 2.2176
O 4.5628 1.2451 4.7315
O 4.7666 1.9971 7.0125
```



# Li8MnFe7B8O24
Computed PXRD pattern, Cu Kα, 1.54184 Å. Input: a DFT-relaxed cell (PBE+U, the Materials Project).
Intensities are scaled so that the largest is 100.

Largest 6 diffraction maxima, in order of falling intensity, 2θ from 5° to 70°:
Position (°2θ)	d/Å	I (rel.)
34.51	2.599	100
34.33	2.612	86
19.62	4.525	71
21.62	4.110	67
25.76	3.458	43
48.65	1.871	39

Structural model:
```
48
Lattice="5.2189 0.0000 0.0000 2.6057 4.5318 0.0000 0.3112 0.5477 20.7946" Properties=species:S:1:pos:R:3 pbc="T T T"
Li 0.0000 0.0000 0.0000
Li 0.1687 0.2952 10.4061
Li 1.1254 1.9039 18.1945
Li 0.9937 1.6377 7.8228
Li 6.1171 1.8528 13.0035
Li 5.9717 1.5654 2.5716
Li 5.1702 0.1617 5.2049
Li 5.3582 0.4818 15.6100
Mn 6.1451 4.6851 8.1324
Fe 3.5238 3.3528 13.3761
Fe 3.3788 3.0802 2.9705
Fe 2.7752 1.7898 10.7998
Fe 2.6281 1.5173 0.3802
Fe 5.3395 3.4660 15.9594
Fe 5.2274 3.1222 5.5329
Fe 6.3063 4.9257 18.5581
B 2.6103 1.6397 5.5902
B 2.7844 1.9253 16.0281
B 3.6767 3.4631 18.6182
B 3.5499 3.1972 8.2237
B 6.1801 4.8524 13.4340
B 6.0287 4.5727 3.0148
B 5.3089 3.3174 10.8515
B 5.1618 3.0170 0.4229
O 1.2343 1.5577 5.7402
O 1.4164 1.8687 16.1805
O 3.0779 4.7147 18.7403
O 2.9889 4.4555 8.3628
O 3.2125 2.8290 5.1850
O 2.7906 2.0714 8.5543
O 3.3972 3.1105 15.6032
O 2.9493 2.3155 18.9301
O 3.9396 3.4408 11.1568
O 3.7900 3.1439 0.7324
O 2.8240 1.4270 13.0457
O 2.6716 1.1436 2.6239
O 5.0081 3.3688 18.2203
O 3.3854 0.5169 5.8908
O 3.5757 0.8053 16.3248
O 4.8655 3.0498 7.7836
O 6.0126 4.4420 10.4207
O 5.5614 3.6378 13.7351
O 6.1674 4.6953 20.7939
O 5.4089 3.3553 3.3196
O 4.9566 0.4275 13.5504
O 4.8028 0.1471 3.1329
O 5.9372 2.0969 10.9930
O 5.7827 1.7974 0.5658
```



# Li4MnFe3B4O12
Computed PXRD pattern, Cu Kα, 1.54184 Å. Input: a DFT-relaxed cell (PBE+U, the Materials Project).
Intensities are scaled so that the largest is 100.

Largest 6 diffraction maxima, in order of falling intensity, 2θ from 5° to 70°:
Position (°2θ)	d/Å	I (rel.)
33.49	2.676	100
20.42	4.350	85
22.41	3.967	63
34.11	2.628	33
41.06	2.198	33
34.84	2.575	32

Structural model:
```
24
Lattice="5.2323 0.0000 0.0000 2.5570 5.6126 0.0000 0.2038 2.7108 8.5859" Properties=species:S:1:pos:R:3 pbc="T T T"
Li 0.0000 0.0000 0.0000
Li 1.6235 2.6389 2.2617
Li 5.2699 6.9509 4.2849
Li 4.3426 4.0051 6.5732
Mn 2.6142 6.9056 5.8816
Fe 1.7279 4.0107 4.9772
Fe 5.1626 5.5572 1.5610
Fe 4.2431 2.6783 0.7009
B 2.5234 6.1441 2.9670
B 1.8474 4.7813 7.8718
B 5.2486 7.5288 7.2766
B 4.3614 3.4416 3.5730
O 2.5804 4.8603 6.6810
O 3.8869 6.3653 3.0028
O 2.3241 2.1467 0.5026
O 4.6036 7.4707 6.0496
O 2.9997 3.2225 3.5384
O 4.5020 7.4174 8.4637
O 5.0948 3.5249 2.3780
O 6.6126 7.7509 7.3449
O 5.0339 3.5161 4.7909
O 7.0803 6.0907 1.7457
O 5.7168 4.5833 7.8405
O 7.0197 6.0368 4.1484
```



Repeat the third record exactly.
# Li4MnFe2B4O12
Computed PXRD pattern, Cu Kα, 1.54184 Å. Input: a DFT-relaxed cell (PBE+U, the Materials Project).
Intensities are scaled so that the largest is 100.

Largest 6 diffraction maxima, in order of falling intensity, 2θ from 5° to 70°:
Position (°2θ)	d/Å	I (rel.)
13.26	6.679	100
36.09	2.489	95
34.34	2.611	81
20.38	4.357	74
27.42	3.253	54
28.67	3.114	33

Structural model:
```
46
Lattice="5.2916 0.0000 0.0000 0.0000 9.0067 0.0000 -5.1358 0.0000 9.9553" Properties=species:S:1:pos:R:3 pbc="T T T"
Li 0.0000 0.8253 0.0000
Li -2.5679 8.1814 4.9777
Li 1.0497 2.3842 1.9838
Li -1.5182 6.6225 6.9614
Li 3.6466 3.5548 2.1364
Li 1.0787 5.4519 7.1141
Li 2.7406 2.0662 4.4713
Li 0.1727 6.9405 9.4490
Mn 1.2080 2.5018 7.7750
Mn 3.7759 6.5048 2.7973
Fe -1.4777 0.5810 7.3511
Fe 1.0902 8.4257 2.3734
Fe 0.0791 3.8406 4.7915
Fe -2.4888 5.1661 9.7691
B -5.0798 3.8990 9.8846
B -2.5119 5.1076 4.9069
B -1.5002 3.7436 7.3720
B 1.0676 5.2631 2.3944
B 0.1261 0.8102 4.8220
B -2.4418 8.1964 9.7997
B 3.6489 0.7248 2.3465
B 1.0811 8.2819 7.3242
O -1.8459 3.9045 4.6538
O -4.4138 5.1022 9.6315
O -4.4029 2.6979 9.8313
O -1.8350 6.3088 4.8536
O -0.2869 0.7892 2.0009
O -2.8548 8.2174 6.9785
O -1.1800 0.6757 5.2986
O 1.3879 8.3309 0.3210
O 0.2969 4.1567 2.7481
O -2.2710 4.8499 7.7257
O -2.0671 2.4682 7.4056
O 0.5007 6.5385 2.4279
O -1.7068 0.2480 9.2842
O 0.8611 8.7586 4.3065
O 0.7694 2.0621 4.8390
O -1.7985 6.9446 9.8166
O -0.1727 3.8833 6.9824
O 2.3952 5.1233 2.0048
O 4.0018 3.9145 0.2258
O 1.4339 5.0922 5.2034
O 2.8641 1.8222 2.4982
O 0.2962 7.1844 7.4759
O 0.5093 0.5543 7.5489
O 3.0772 8.4523 2.5712
```